Structure and calculated powder diffractogram of MoSeBr7 (a PBE-relaxed structure; a wavelength of 1.5418 Å).
Lines closer than 0.1° are merged.

The 12 most intense peaks (10 to 90 degrees two-theta), in order of rising 2θ:
2θ (°), I_rel
15.98, 48
17.52, 69
23.14, 96
24.00, 32
25.20, 48
26.38, 77
27.36, 100
28.79, 84
32.26, 41
32.88, 33
43.72, 34
49.33, 41

Crystal structure
```
MoSeBr7
1.0
6.944 0.000 0.000
0.000 6.940 0.000
-2.744 0.000 14.797
Mo Se Br
2 2 14
Cartesian
0.000 0.084 0.000
-1.372 6.856 7.398
1.925 3.116 2.833
0.553 3.824 10.231
-1.229 2.609 11.368
0.144 4.331 3.969
-0.479 0.810 14.797
0.893 6.130 7.398
2.648 1.176 4.105
1.276 5.764 11.504
2.331 2.619 9.023
3.703 4.321 1.625
3.048 1.224 13.039
4.421 5.717 5.641
6.010 0.821 2.058
4.638 6.119 9.456
5.431 2.276 7.119
4.059 4.664 14.517
```